This entry pairs a crystal structure of LiY3WO8 with its computed X-ray powder pattern. Radiation: a wavelength of 1.5418 Å. Structure: DFT lattice parameters and positions (PBE+U).
Kinematic intensities with the Lorentz-polarization factor, no thermal factor.

Cell and atoms:
Cell: 5.954 5.973 6.182 Å, 90.00 116.93 90.00°
Fractional positions:
Li1 0.000 0.000 0.000
Y1 0.000 0.489 0.000
Y2 0.500 0.257 0.500
Y3 0.500 0.990 0.000
W1 0.000 0.755 0.500
O1 0.157 0.768 0.867
O2 0.197 0.525 0.439
O3 0.262 0.977 0.565
O4 0.278 0.220 0.102
O5 0.722 0.220 0.898
O6 0.738 0.977 0.435
O7 0.803 0.525 0.561
O8 0.843 0.768 0.133

Most intense lines, 10° ≤ 2θ ≤ 90°, in order of rising 2θ:
3.968 Å, 22.41 deg, intensity 88.1, hkl 1 1 0; 3.908 Å, 22.75 deg, intensity 100.0, hkl 1 1 -1; 2.802 Å, 31.94 deg, intensity 22.8, hkl 1 1 1; 2.756 Å, 32.49 deg, intensity 39.1, hkl 0 0 2; 2.626 Å, 34.15 deg, intensity 31.7, hkl 0 2 1; 2.108 Å, 42.90 deg, intensity 44.5, hkl 2 2 -1; 1.936 Å, 46.94 deg, intensity 18.0, hkl 1 1 -3; 1.865 Å, 48.84 deg, intensity 26.3, hkl 1 3 0; 1.693 Å, 54.17 deg, intensity 16.8, hkl 2 2 1; 1.656 Å, 55.49 deg, intensity 22.0, hkl 2 2 -3